For TbBi3, the PBE geometry in the Materials Project gives the simulated X-ray diffraction stick pattern in this record (a wavelength of 1.5418 Å).
No peak broadening, texture or thermal motion is included.

Structural model:
```
8
Lattice="6.839 0.000 0.000 -3.420 5.923 0.000 0.000 0.000 6.066" Properties=species:S:1:pos:R:3 pbc="T T T"
Tb 0.000 3.949 1.517
Tb 3.420 1.974 4.550
Bi 0.000 2.038 4.550
Bi -1.655 4.904 4.550
Bi 1.765 1.019 1.517
Bi 1.655 4.904 4.550
Bi 5.075 1.019 1.517
Bi 3.420 3.885 1.517
```

Most intense lines, 2θ = 5–70°, by angle:
| 2θ/deg | I (rel.) | (hkl) |
| --- | --- | --- |
| 29.4 | 31.6 | 0 0 2 |
| 30.2 | 22.1 | 2 0 0 |
| 33.7 | 100.0 | 2 0 1 |
| 42.7 | 17.6 | 2 0 2 |
| 53.6 | 18.0 | 2 2 0 |
| 55.0 | 25.5 | 2 0 3 |
| 61.1 | 4.2 | 0 0 4 |
| 62.3 | 23.1 | 2 2 2 |
| 64.8 | 15.4 | 4 0 1 |
| 69.7 | 4.3 | 2 0 4 |

=====

For ScPb3, the PBE geometry in the Materials Project gives the simulated X-ray diffraction stick pattern in this record (a wavelength of 1.5418 Å).
No peak broadening, texture or thermal motion is included.

Structural model:
```
8
Lattice="4.535 0.000 0.000 0.000 4.535 0.000 0.000 0.000 11.049" Properties=species:S:1:pos:R:3 pbc="T T T"
Sc 0.000 0.000 0.000
Sc 2.267 2.267 5.525
Pb 0.000 0.000 5.525
Pb 0.000 2.267 2.762
Pb 0.000 2.267 8.287
Pb 2.267 0.000 2.762
Pb 2.267 0.000 8.287
Pb 2.267 2.267 0.000
```

Most intense lines, 2θ = 5–70°, by angle:
| 2θ/deg | I (rel.) | (hkl) |
| --- | --- | --- |
| 16.0 | 7.3 | 0 0 2 |
| 21.2 | 15.8 | 1 0 1 |
| 31.3 | 6.3 | 1 0 3 |
| 32.3 | 100.0 | 1 1 2 |
| 32.4 | 24.7 | 0 0 4 |
| 39.8 | 28.7 | 2 0 0 |
| 52.2 | 26.4 | 2 0 4 |
| 57.5 | 9.9 | 2 2 0 |
| 57.7 | 19.5 | 1 1 6 |
| 67.5 | 37.1 | 3 1 2 |

=====

For CsBaMg14, the PBE geometry in the Materials Project gives the simulated X-ray diffraction stick pattern in this record (a wavelength of 1.5418 Å).
No peak broadening, texture or thermal motion is included.

Structural model:
```
16
Lattice="7.058 0.000 0.000 -3.529 6.112 0.000 0.000 0.000 10.532" Properties=species:S:1:pos:R:3 pbc="T T T"
Cs 0.000 0.000 0.000
Ba 0.000 0.000 5.266
Mg -1.730 3.076 0.000
Mg -1.705 3.091 5.266
Mg 0.000 2.276 2.670
Mg 0.000 2.276 7.862
Mg -1.558 4.974 2.670
Mg -1.558 4.974 7.862
Mg 1.705 3.091 5.266
Mg 0.000 6.043 5.266
Mg 1.730 3.076 0.000
Mg 0.000 6.072 0.000
Mg 1.558 4.974 2.670
Mg 1.558 4.974 7.862
Mg 3.529 2.037 2.640
Mg 3.529 2.037 7.893
```

Most intense lines, 2θ = 5–70°, by angle:
| 2θ/deg | I (rel.) | (hkl) |
| --- | --- | --- |
| 14.5 | 46.1 | 1 0 0 |
| 22.3 | 52.9 | 1 0 2 |
| 29.2 | 32.8 | 2 0 0 |
| 30.5 | 18.6 | 1 1 2 |
| 33.9 | 100.0 | 2 0 2 |
| 34.0 | 21.7 | 0 0 4 |
| 45.5 | 18.9 | 2 0 4 |
| 51.8 | 17.4 | 2 2 0 |
| 60.9 | 17.6 | 2 0 6 |
| 63.4 | 32.7 | 2 2 4 |

=====

For HfTaNO3, the PBE geometry in the Materials Project gives the simulated X-ray diffraction stick pattern in this record (a wavelength of 1.5418 Å).
No peak broadening, texture or thermal motion is included.

Structural model:
```
6
Lattice="3.523 0.000 0.000 0.000 3.590 0.000 0.000 0.000 5.294" Properties=species:S:1:pos:R:3 pbc="T T T"
Hf 0.000 0.000 0.000
Ta 1.762 1.795 2.767
N 1.762 0.000 3.658
O 0.000 1.795 1.782
O 0.000 1.795 4.347
O 1.762 0.000 1.060
```

Most intense lines, 2θ = 5–70°, by angle:
| 2θ/deg | I (rel.) | (hkl) |
| --- | --- | --- |
| 30.1 | 100.0 | 0 1 1 |
| 30.5 | 94.6 | 1 0 1 |
| 33.9 | 27.5 | 0 0 2 |
| 35.7 | 42.7 | 1 1 0 |
| 50.0 | 58.8 | 1 1 2 |
| 50.9 | 15.6 | 0 2 0 |
| 51.9 | 15.1 | 2 0 0 |
| 58.5 | 15.0 | 1 0 3 |
| 60.5 | 27.6 | 1 2 1 |
| 61.2 | 27.1 | 2 1 1 |

=====

For BeH2O2, the PBE geometry in the Materials Project gives the simulated X-ray diffraction stick pattern in this record (a wavelength of 1.5418 Å).
No peak broadening, texture or thermal motion is included.

Structural model:
```
20
Lattice="4.587 0.000 0.000 0.000 4.686 0.000 0.000 0.000 6.997" Properties=species:S:1:pos:R:3 pbc="T T T"
Be 0.182 0.968 0.889
Be 2.112 3.718 4.387
Be 2.475 1.375 6.108
Be 4.405 3.310 2.610
H 0.678 0.326 5.498
H 1.010 1.908 3.945
H 1.283 2.778 0.447
H 1.616 4.359 2.000
H 2.971 2.017 1.499
H 3.304 0.435 3.052
H 3.577 4.251 6.550
H 3.909 2.669 4.997
O 0.701 4.301 1.629
O 0.798 2.860 3.869
O 1.496 1.826 0.370
O 1.592 0.385 5.127
O 2.995 2.728 5.368
O 3.091 4.168 3.128
O 3.789 0.517 6.626
O 3.886 1.958 1.870
```

Most intense lines, 2θ = 5–70°, by angle:
| 2θ/deg | I (rel.) | (hkl) |
| --- | --- | --- |
| 22.8 | 75.4 | 0 1 1 |
| 23.2 | 47.2 | 1 0 1 |
| 30.1 | 31.3 | 1 1 1 |
| 32.2 | 33.4 | 1 0 2 |
| 37.6 | 100.0 | 1 1 2 |
| 40.6 | 24.3 | 0 2 1 |
| 45.4 | 18.0 | 1 2 1 |
| 45.9 | 27.2 | 2 1 1 |
| 47.9 | 19.0 | 1 1 3 |
| 51.0 | 11.7 | 1 2 2 |

=====

For LiCuP2O6, the PBE geometry in the Materials Project gives the simulated X-ray diffraction stick pattern in this record (a wavelength of 1.5418 Å).
No peak broadening, texture or thermal motion is included.

Structural model:
```
20
Lattice="4.979 0.000 0.000 0.099 7.805 0.000 0.057 3.711 8.122" Properties=species:S:1:pos:R:3 pbc="T T T"
Li 0.000 0.000 0.000
Li 2.535 3.342 3.357
Cu 0.082 3.996 4.885
Cu 2.484 1.761 0.531
P 0.295 7.239 4.613
P 2.526 3.232 6.479
P 2.804 7.915 6.370
P 4.949 1.770 2.518
O 0.407 5.860 4.098
O 0.661 1.093 1.352
O 0.789 2.784 3.294
O 1.007 3.214 6.584
O 1.726 7.780 5.168
O 2.379 7.208 7.592
O 3.040 3.747 5.138
O 3.118 9.414 6.501
O 3.228 3.773 7.713
O 3.525 2.223 2.251
O 4.211 7.309 5.837
O 4.774 8.301 3.630
```

Most intense lines, 2θ = 5–70°, by angle:
| 2θ/deg | I (rel.) | (hkl) |
| --- | --- | --- |
| 10.9 | 55.2 | 0 0 1 |
| 12.5 | 77.0 | 0 1 0 |
| 12.7 | 22.0 | 0 1 1 |
| 19.7 | 19.3 | 0 1 -1 |
| 20.2 | 16.4 | 0 1 2 |
| 20.9 | 100.0 | 1 0 1 |
| 25.1 | 37.2 | 0 2 0 |
| 25.6 | 34.6 | 0 2 2 |
| 26.6 | 13.0 | 1 1 -1 |
| 36.1 | 18.0 | 2 0 0 |

=====

For MnNi2N2, the PBE geometry in the Materials Project gives the simulated X-ray diffraction stick pattern in this record (a wavelength of 1.5418 Å).
No peak broadening, texture or thermal motion is included.

Structural model:
```
20
Lattice="5.048 0.000 0.000 0.000 2.814 0.000 0.000 0.000 13.953" Properties=species:S:1:pos:R:3 pbc="T T T"
Mn 0.621 0.703 2.755
Mn 1.903 2.110 9.732
Mn 3.145 0.703 4.221
Mn 4.427 2.110 11.197
Ni 0.937 2.110 5.121
Ni 1.031 2.110 0.458
Ni 1.493 0.703 7.434
Ni 1.587 0.703 12.097
Ni 3.461 2.110 1.855
Ni 3.555 2.110 6.519
Ni 4.017 0.703 13.495
Ni 4.111 0.703 8.832
N 0.138 2.110 9.562
N 0.274 2.110 12.699
N 2.250 0.703 5.723
N 2.387 0.703 2.586
N 2.662 2.110 11.367
N 2.799 2.110 8.230
N 4.774 0.703 1.254
N 4.911 0.703 4.391
```

Most intense lines, 2θ = 5–70°, by angle:
| 2θ/deg | I (rel.) | (hkl) |
| --- | --- | --- |
| 35.6 | 12.5 | 2 0 0 |
| 36.2 | 31.6 | 2 0 1 |
| 37.4 | 37.4 | 0 1 3 |
| 38.8 | 13.5 | 1 1 2 |
| 41.6 | 100.0 | 1 1 3 |
| 42.8 | 61.4 | 1 0 6 |
| 48.9 | 12.7 | 2 1 1 |
| 50.3 | 16.1 | 2 1 2 |
| 66.5 | 13.4 | 0 2 0 |
| 69.2 | 21.4 | 0 1 9 |

=====

For Fe3NiMo6N2, the PBE geometry in the Materials Project gives the simulated X-ray diffraction stick pattern in this record (a wavelength of 1.5418 Å).
No peak broadening, texture or thermal motion is included.

Structural model:
```
24
Lattice="6.689 0.000 0.000 0.000 6.691 0.000 -0.028 0.000 6.693" Properties=species:S:1:pos:R:3 pbc="T T T"
Fe 0.453 0.000 2.158
Fe 1.190 1.677 3.808
Fe 2.845 0.937 5.468
Fe 3.816 4.283 1.225
Fe 5.471 5.023 2.885
Fe 6.208 3.345 4.535
Ni 2.121 5.941 0.455
Ni 4.539 2.596 6.238
Mo 0.302 1.292 6.382
Mo 0.814 5.800 4.695
Mo 1.345 4.139 2.503
Mo 1.969 3.486 5.857
Mo 2.508 1.819 1.346
Mo 3.013 6.318 3.024
Mo 3.648 2.973 3.670
Mo 4.153 5.164 5.347
Mo 4.692 0.141 0.836
Mo 5.315 0.794 4.190
Mo 5.847 2.455 1.998
Mo 6.359 4.637 0.311
N 0.830 2.976 0.835
N 2.490 4.648 4.188
N 4.171 1.302 2.505
N 5.830 6.322 5.858
```

Most intense lines, 2θ = 5–70°, by angle:
| 2θ/deg | I (rel.) | (hkl) |
| --- | --- | --- |
| 23.0 | 7.4 | 1 1 -1 |
| 29.8 | 12.9 | 2 0 -1 |
| 40.4 | 100.0 | 2 2 -1 |
| 40.5 | 100.0 | 1 2 2 |
| 42.7 | 95.4 | 1 0 -3 |
| 42.8 | 18.8 | 3 0 1 |
| 44.9 | 33.4 | 1 3 -1 |
| 45.0 | 16.2 | 1 1 3 |
| 58.6 | 10.8 | 4 1 1 |
| 62.0 | 9.7 | 0 4 2 |